Starting from a cell relaxed with GGA-PBE, the X-ray diffraction stick pattern of LaCeSm4 was computed for CuKα.
Neutral-atom scattering factors, no anomalous dispersion.

Largest 10 diffraction maxima, low angle first, 5 to 70 degrees two-theta:
- 2θ 15.78, 5.615 Å, rel. 15, hkl 0 0 2
- 2θ 20.93, 4.244 Å, rel. 23, hkl 1 0 1
- 2θ 30.84, 2.899 Å, rel. 9, hkl 1 0 3
- 2θ 31.88, 2.807 Å, rel. 100, hkl 1 1 2
- 2θ 39.30, 2.292 Å, rel. 23, hkl 2 0 0
- 2θ 42.60, 2.122 Å, rel. 10, hkl 2 0 2
- 2θ 44.94, 2.017 Å, rel. 9, hkl 2 1 1
- 2θ 51.47, 1.776 Å, rel. 21, hkl 2 0 4
- 2θ 56.80, 1.621 Å, rel. 23, hkl 2 2 0
- 2θ 66.62, 1.404 Å, rel. 31, hkl 3 1 2

Crystal structure
```
data_LaCeSm4
_space_group_name_H-M_alt 'P 4/m m m'
_space_group_IT_number 123
_space_group_name_Hall '-P 4 2'
_cell_length_a 4.585
_cell_length_b 4.585
_cell_length_c 11.229
_cell_angle_alpha 90.00
_cell_angle_beta 90.00
_cell_angle_gamma 90.00
loop_
_atom_site_label
_atom_site_type_symbol
_atom_site_fract_x
_atom_site_fract_y
_atom_site_fract_z
La1 La 0.000 0.000 0.000
Ce1 Ce 0.500 0.500 0.500
Sm1 Sm 0.000 0.500 0.257
```



Starting from a cell relaxed with GGA-PBE, the X-ray diffraction stick pattern of La7CeSm12 was computed for CuKα.
Neutral-atom scattering factors, no anomalous dispersion.

Largest 10 diffraction maxima, low angle first, 5 to 70 degrees two-theta:
- 2θ 22.55, 3.944 Å, rel. 19, hkl 1 1 3
- 2θ 28.67, 3.114 Å, rel. 33, hkl 0 2 4
- 2θ 30.07, 2.972 Å, rel. 100, hkl 4 -3 1
- 2θ 30.25, 2.955 Å, rel. 38, hkl 0 3 3
- 2θ 30.60, 2.921 Å, rel. 32, hkl 0 1 5
- 2θ 31.80, 2.814 Å, rel. 99, hkl 4 -1 2
- 2θ 32.05, 2.792 Å, rel. 40, hkl 3 -1 4
- 2θ 36.78, 2.444 Å, rel. 15, hkl 1 2 5
- 2θ 52.30, 1.749 Å, rel. 18, hkl 5 2 0
- 2θ 55.59, 1.653 Å, rel. 19, hkl 2 5 3

Crystal structure
```
data_La7CeSm12
_space_group_name_H-M_alt 'R -3'
_space_group_IT_number 148
_space_group_name_Hall '-R 3'
_cell_length_a 12.6172
_cell_length_b 12.6172
_cell_length_c 15.1585
_cell_angle_alpha 90.00
_cell_angle_beta 90.00
_cell_angle_gamma 120.00
loop_
_atom_site_label
_atom_site_type_symbol
_atom_site_fract_x
_atom_site_fract_y
_atom_site_fract_z
La1 La 0.0000 0.0000 0.0000
La2 La 0.0604 0.8380 0.3935
Ce1 Ce 0.0000 0.0000 0.5000
Sm1 Sm 0.0229 0.4387 0.7209
Sm2 Sm 0.0588 0.1893 0.8143
```



Starting from a cell relaxed with GGA-PBE, the X-ray diffraction stick pattern of La2CeSm6 was computed for CuKα.
Neutral-atom scattering factors, no anomalous dispersion.

Largest 8 diffraction maxima, low angle first, 5 to 70 degrees two-theta:
- 2θ 25.16, 3.539 Å, rel. 4, hkl 0 0 3
- 2θ 30.92, 2.892 Å, rel. 100, hkl 3 0 0
- 2θ 40.27, 2.240 Å, rel. 7, hkl 3 0 3
- 2θ 44.30, 2.045 Å, rel. 17, hkl 2 2 3
- 2θ 51.66, 1.770 Å, rel. 4, hkl 0 0 6
- 2θ 54.99, 1.670 Å, rel. 29, hkl 3 3 0
- 2θ 61.42, 1.510 Å, rel. 17, hkl 3 0 6
- 2θ 64.42, 1.446 Å, rel. 7, hkl 6 0 0

Crystal structure
```
data_La2CeSm6
_space_group_name_H-M_alt 'R -3 m'
_space_group_IT_number 166
_space_group_name_Hall '-R 3 2"'
_cell_length_a 10.0199
_cell_length_b 10.0199
_cell_length_c 10.6170
_cell_angle_alpha 90.00
_cell_angle_beta 90.00
_cell_angle_gamma 120.00
loop_
_atom_site_label
_atom_site_type_symbol
_atom_site_fract_x
_atom_site_fract_y
_atom_site_fract_z
La1 La 0.0000 0.0000 0.1728
Ce1 Ce 0.0000 0.0000 0.5000
Sm1 Sm 0.0000 0.3338 0.0000
```